For Ca3LaMn2Ir2O12, a cell relaxed with GGA+U gives the theoretical XRD peak list in this record (copper Kα).
Peak positions follow from Bragg's law for the DFT cell and can differ from measured ones.

Peak list (12 most intense, 10 to 90 degrees two-theta, most intense first)
2theta	intensity
32.1	100
57.5	35
19.3	32
19.6	30
45.8	25
31.5	25
32.4	24
22.4	22
38.0	18
46.2	14
37.4	12
67.1	10

Structure:
a b c (Å): 5.531 5.689 7.860
angles (deg): 89.87 89.93 89.93
Fractional coordinates of all 20 atoms:
1 Ca 0.000 0.000 0.000
2 Ca 0.022 0.109 0.499
3 Ca 0.519 0.497 0.000
4 La 0.500 0.605 0.500
5 Mn 0.008 0.553 0.243
6 Mn 0.512 0.055 0.756
7 Ir 0.010 0.553 0.754
8 Ir 0.510 0.054 0.246
9 O 0.109 0.593 0.992
10 O 0.200 0.841 0.695
11 O 0.220 0.860 0.303
12 O 0.304 0.358 0.705
13 O 0.320 0.344 0.296
14 O 0.410 0.087 0.008
15 O 0.607 0.030 0.492
16 O 0.691 0.756 0.201
17 O 0.710 0.741 0.795
18 O 0.805 0.243 0.200
19 O 0.827 0.261 0.801
20 O 0.924 0.521 0.505

---

For Ca3Mn2Ir2O12, a cell relaxed with GGA+U gives the theoretical XRD peak list in this record (copper Kα).
Peak positions follow from Bragg's law for the DFT cell and can differ from measured ones.

Peak list (12 most intense, 10 to 90 degrees two-theta, most intense first)
2theta	intensity
33.1	100
32.8	99
19.8	86
20.2	83
22.9	75
23.1	69
23.3	68
38.8	52
32.5	52
33.4	47
59.0	34
58.5	32

Structure:
a b c (Å): 5.371 5.506 7.708
angles (deg): 90.06 90.07 91.00
Fractional coordinates of all 19 atoms:
1 Ca 0.000 0.000 0.000
2 Ca 0.021 0.896 0.499
3 Ca 0.495 0.393 0.500
4 Mn 0.009 0.447 0.242
5 Mn 0.513 0.937 0.756
6 Ir 0.009 0.448 0.756
7 Ir 0.513 0.942 0.243
8 O 0.104 0.430 0.994
9 O 0.209 0.156 0.705
10 O 0.220 0.146 0.292
11 O 0.298 0.656 0.693
12 O 0.305 0.658 0.304
13 O 0.421 0.915 0.004
14 O 0.595 0.972 0.494
15 O 0.713 0.237 0.203
16 O 0.721 0.242 0.796
17 O 0.817 0.758 0.214
18 O 0.828 0.751 0.785
19 O 0.921 0.464 0.504

---

For CaMnIrO6, a cell relaxed with GGA+U gives the theoretical XRD peak list in this record (copper Kα).
Peak positions follow from Bragg's law for the DFT cell and can differ from measured ones.

Peak list (12 most intense, 10 to 90 degrees two-theta, most intense first)
2theta	intensity
23.8	100
33.9	65
20.4	34
20.7	33
48.6	31
54.8	28
33.4	17
61.2	16
34.3	15
40.2	14
39.7	13
60.0	12

Structure:
a b c (Å): 5.228 5.359 9.126
angles (deg): 90.00 124.85 90.00
Fractional coordinates of all 18 atoms:
1 Ca 0.000 0.191 0.000
2 Ca 0.000 0.809 0.500
3 Mn 0.236 0.256 0.747
4 Mn 0.236 0.744 0.247
5 Ir 0.735 0.258 0.248
6 Ir 0.735 0.742 0.748
7 O 0.073 0.044 0.290
8 O 0.073 0.956 0.790
9 O 0.387 0.457 0.201
10 O 0.387 0.543 0.701
11 O 0.488 0.044 0.707
12 O 0.488 0.956 0.207
13 O 0.571 0.270 0.997
14 O 0.571 0.730 0.497
15 O 0.896 0.241 0.500
16 O 0.896 0.759 0.000
17 O 0.983 0.450 0.795
18 O 0.983 0.550 0.295

---

For Ca2NiIrO6, a cell relaxed with GGA+U gives the theoretical XRD peak list in this record (copper Kα).
Peak positions follow from Bragg's law for the DFT cell and can differ from measured ones.

Peak list (12 most intense, 10 to 90 degrees two-theta, most intense first)
2theta	intensity
32.6	100
22.8	52
19.5	32
20.0	29
46.5	27
31.8	25
23.0	24
33.0	23
58.7	18
57.1	17
47.0	15
38.6	13

Structure:
a b c (Å): 5.422 5.632 9.434
angles (deg): 90.00 124.88 90.00
Fractional coordinates of all 20 atoms:
1 Ca 0.233 0.060 0.248
2 Ca 0.233 0.440 0.748
3 Ca 0.767 0.560 0.252
4 Ca 0.767 0.940 0.752
5 Ni 0.000 0.000 0.500
6 Ni 0.000 0.500 0.000
7 Ir 0.500 0.000 0.000
8 Ir 0.500 0.500 0.500
9 O 0.159 0.193 0.952
10 O 0.159 0.307 0.452
11 O 0.259 0.712 0.947
12 O 0.259 0.788 0.447
13 O 0.355 0.030 0.757
14 O 0.355 0.470 0.257
15 O 0.645 0.530 0.743
16 O 0.645 0.970 0.243
17 O 0.741 0.212 0.553
18 O 0.741 0.288 0.053
19 O 0.841 0.693 0.548
20 O 0.841 0.807 0.048